This entry pairs a crystal structure of PmSmHg5 with its computed PXRD pattern. Radiation: copper Kα. Structure: a cell relaxed with GGA-PBE.

Most intense lines, 5 to 70 degrees two-theta, in order of falling intensity:
d (Å)  2theta  I (rel.)  (hkl)
2.555  35.1  100  1 1 2
2.586  34.7  53  2 0 0
1.487  62.4  38  3 1 2
1.829  49.9  19  2 2 0
1.470  63.3  17  2 0 4
3.256  27.4  9  1 1 1
1.786  51.1  8  0 0 4
5.172  17.1  7  1 0 0
3.657  24.3  7  1 1 0
1.752  52.2  4  2 0 3
2.939  30.4  4  1 0 2
3.572  24.9  3  0 0 2

Cell and atoms:
```
data_PmSmHg5
_cell_length_a 5.172
_cell_length_b 5.172
_cell_length_c 7.144
_cell_angle_alpha 90.00
_cell_angle_beta 90.00
_cell_angle_gamma 90.00
_symmetry_space_group_name_H-M 'P 1'
_symmetry_Int_Tables_number 1
_symmetry_space_group_name_Hall 'P 1'
loop_
_atom_site_label
_atom_site_type_symbol
_atom_site_fract_x
_atom_site_fract_y
_atom_site_fract_z
_atom_site_occupancy
Pm1 Pm 0.000 0.000 0.000 1
Sm1 Sm 0.500 0.500 0.500 1
Hg1 Hg 0.000 0.500 0.267 1
Hg2 Hg 0.000 0.500 0.733 1
Hg3 Hg 0.500 0.000 0.267 1
Hg4 Hg 0.500 0.000 0.733 1
Hg5 Hg 0.500 0.500 0.000 1
```